Computed powder diffractogram of Mg2MnBiO6 for Cu Kα (weighted mean of Kα1 and Kα2), from a crystal structure in Alexandria, relaxed with GGA+U.

Cell: 5.3003 5.3003 14.2510 Å, 90.00 90.00 120.00°
Space group R3 (No. 146, hexagonal axes)
Unique sites:
1 Mg 0.0000 0.0000 0.0000 x3
2 Mg 0.0000 0.0000 0.4894 x3
3 Mn 0.0000 0.0000 0.6957 x3
4 Bi 0.0000 0.0000 0.2086 x3
5 O 0.0234 0.6880 0.7611 x9
6 O 0.0252 0.2920 0.6038 x9

Most intense lines, 2θ from 10° to 90°, most intense first:
23.05°, rel. 100, (0 1 2)
31.79°, rel. 71, (1 0 4)
33.82°, rel. 55, (1 1 0)
20.33°, rel. 51, (1 0 1)
51.68°, rel. 38, (1 1 6)
38.91°, rel. 31, (2 -1 3)
47.10°, rel. 29, (0 2 4)
59.24°, rel. 28, (2 1 4)
41.33°, rel. 21, (2 0 2)
60.51°, rel. 20, (3 0 0)